No. 1
# Na11Mn13O32
Calculated X-ray diffraction stick pattern, Cu Ka. Input: a DFT-relaxed cell (PBE+U, the Materials Project).

Crystal structure
Cell: 5.990 6.202 20.517 Å, 87.71 81.62 61.17°
Fractional coordinates of all 56 atoms:
Na  0.000  0.000  0.000
Na  0.007  0.475  0.512
Na  0.195  0.385  0.223
Na  0.384  0.296  0.933
Na  0.393  0.769  0.446
Na  0.448  0.506  0.597
Na  0.500  0.746  0.255
Na  0.508  0.233  0.749
Na  0.882  0.540  0.696
Na  0.893  0.023  0.191
Na  0.940  0.266  0.849
Mn  0.195  0.886  0.723
Mn  0.440  0.261  0.355
Mn  0.442  0.768  0.846
Mn  0.447  0.004  0.599
Mn  0.448  0.014  0.090
Mn  0.448  0.508  0.090
Mn  0.686  0.658  0.968
Mn  0.705  0.113  0.477
Mn  0.943  0.767  0.846
Mn  0.945  0.755  0.355
Mn  0.946  0.260  0.355
Mn  0.949  0.005  0.599
Mn  0.954  0.508  0.090
O  0.000  0.525  0.914
O  0.025  0.962  0.409
O  0.068  0.758  0.663
O  0.081  0.435  0.404
O  0.098  0.151  0.654
O  0.101  0.204  0.136
O  0.102  0.900  0.894
O  0.107  0.648  0.137
O  0.286  0.120  0.308
O  0.288  0.871  0.552
O  0.290  0.565  0.309
O  0.293  0.622  0.791
O  0.313  0.333  0.041
O  0.322  0.015  0.783
O  0.368  0.808  0.037
O  0.391  0.244  0.531
O  0.510  0.758  0.663
O  0.557  0.527  0.914
O  0.558  0.204  0.136
O  0.589  0.682  0.140
O  0.593  0.913  0.901
O  0.604  0.146  0.644
O  0.605  0.962  0.409
O  0.607  0.374  0.412
O  0.785  0.395  0.033
O  0.785  0.625  0.801
O  0.787  0.808  0.037
O  0.800  0.858  0.545
O  0.803  0.087  0.305
O  0.832  0.246  0.532
O  0.835  0.565  0.309
O  0.879  0.015  0.783

Top 10 peaks for 2θ = 10–90°, by angle:
- 2θ 17.05, I = 1000
- 2θ 17.49, I = 590
- 2θ 18.04, I = 593
- 2θ 33.66, I = 311
- 2θ 34.59, I = 893
- 2θ 34.79, I = 417
- 2θ 41.31, I = 795
- 2θ 41.95, I = 382
- 2θ 59.73, I = 390
- 2θ 60.93, I = 334

=====

No. 2
# Na4MnO3
Calculated X-ray diffraction stick pattern, Cu Ka. Input: a DFT-relaxed cell (PBE+U, the Materials Project).

Crystal structure
Cell: 9.899 9.899 9.899 Å, 147.75 115.53 73.94°
Fractional coordinates of all 32 atoms:
Na  0.027  0.277  0.750
Na  0.038  0.617  0.493
Na  0.123  0.117  0.079
Na  0.250  0.348  0.098
Na  0.250  0.848  0.598
Na  0.377  0.456  0.993
Na  0.462  0.956  0.579
Na  0.473  0.223  0.250
Na  0.527  0.777  0.750
Na  0.538  0.044  0.421
Na  0.623  0.544  0.007
Na  0.750  0.152  0.402
Na  0.750  0.652  0.902
Na  0.877  0.883  0.921
Na  0.962  0.383  0.507
Na  0.973  0.723  0.250
Mn  0.172  0.922  0.250
Mn  0.328  0.578  0.750
Mn  0.672  0.422  0.250
Mn  0.828  0.078  0.750
O  0.042  0.999  0.711
O  0.142  0.750  0.892
O  0.212  0.669  0.211
O  0.288  0.499  0.457
O  0.358  0.250  0.608
O  0.458  0.169  0.957
O  0.542  0.831  0.043
O  0.642  0.750  0.392
O  0.712  0.501  0.543
O  0.788  0.331  0.789
O  0.858  0.250  0.108
O  0.958  0.001  0.289

Top 10 peaks for 2θ = 10–90°, by angle:
- 2θ 21.40, I = 604
- 2θ 28.92, I = 394
- 2θ 29.07, I = 374
- 2θ 32.24, I = 436
- 2θ 32.57, I = 324
- 2θ 33.98, I = 427
- 2θ 37.93, I = 1000
- 2θ 47.78, I = 875
- 2θ 48.82, I = 499
- 2θ 55.95, I = 216

=====

No. 3
# NaMn3O6
Calculated X-ray diffraction stick pattern, Cu Ka. Input: a DFT-relaxed cell (PBE+U, the Materials Project).

Crystal structure
Cell: 13.804 13.778 6.007 Å, 77.66 77.18 25.16°
Fractional coordinates of all 40 atoms:
Na  0.042  0.042  0.708
Na  0.292  0.292  0.958
Na  0.708  0.708  0.042
Na  0.958  0.958  0.292
Mn  0.000  0.500  0.500
Mn  0.157  0.171  0.342
Mn  0.170  0.658  0.829
Mn  0.171  0.157  0.830
Mn  0.342  0.830  0.157
Mn  0.500  0.000  0.500
Mn  0.500  0.500  0.000
Mn  0.500  0.500  0.500
Mn  0.658  0.170  0.843
Mn  0.829  0.843  0.170
Mn  0.830  0.342  0.171
Mn  0.843  0.829  0.658
O  0.041  0.627  0.404
O  0.046  0.634  0.906
O  0.086  0.094  0.366
O  0.094  0.086  0.954
O  0.225  0.251  0.287
O  0.251  0.225  0.736
O  0.264  0.713  0.749
O  0.287  0.736  0.225
O  0.366  0.954  0.086
O  0.373  0.959  0.571
O  0.404  0.429  0.041
O  0.429  0.404  0.627
O  0.571  0.596  0.373
O  0.596  0.571  0.959
O  0.627  0.041  0.429
O  0.634  0.046  0.914
O  0.713  0.264  0.775
O  0.736  0.287  0.251
O  0.749  0.775  0.264
O  0.775  0.749  0.713
O  0.906  0.914  0.046
O  0.914  0.906  0.634
O  0.954  0.366  0.094
O  0.959  0.373  0.596

Top 10 peaks for 2θ = 10–90°, by angle:
- 2θ 17.91, I = 1000
- 2θ 34.18, I = 237
- 2θ 34.69, I = 221
- 2θ 35.20, I = 217
- 2θ 36.29, I = 134
- 2θ 41.29, I = 183
- 2θ 42.14, I = 178
- 2θ 43.01, I = 169
- 2θ 60.46, I = 135
- 2θ 61.14, I = 132

=====

No. 4
# Na2MnO2
Calculated X-ray diffraction stick pattern, Cu Ka. Input: a DFT-relaxed cell (PBE+U, the Materials Project).

Crystal structure
Cell: 6.013 6.013 5.831 Å, 118.73 118.73 56.96°
Fractional coordinates of all 10 atoms:
Na  0.153  0.153  0.050
Na  0.346  0.346  0.744
Na  0.654  0.654  0.256
Na  0.847  0.847  0.950
Mn  0.255  0.745  0.500
Mn  0.745  0.255  0.500
O  0.097  0.097  0.383
O  0.401  0.401  0.183
O  0.599  0.599  0.817
O  0.903  0.903  0.617

Top 10 peaks for 2θ = 10–90°, by angle:
- 2θ 18.22, I = 934
- 2θ 20.07, I = 594
- 2θ 33.98, I = 487
- 2θ 34.14, I = 488
- 2θ 35.97, I = 198
- 2θ 36.07, I = 226
- 2θ 36.36, I = 1000
- 2θ 37.37, I = 339
- 2θ 44.31, I = 259
- 2θ 52.23, I = 413

=====

Copy entry 2 word for word.
# Na4MnO3
Calculated X-ray diffraction stick pattern, Cu Ka. Input: a DFT-relaxed cell (PBE+U, the Materials Project).

Crystal structure
Cell: 9.899 9.899 9.899 Å, 147.75 115.53 73.94°
Fractional coordinates of all 32 atoms:
Na  0.027  0.277  0.750
Na  0.038  0.617  0.493
Na  0.123  0.117  0.079
Na  0.250  0.348  0.098
Na  0.250  0.848  0.598
Na  0.377  0.456  0.993
Na  0.462  0.956  0.579
Na  0.473  0.223  0.250
Na  0.527  0.777  0.750
Na  0.538  0.044  0.421
Na  0.623  0.544  0.007
Na  0.750  0.152  0.402
Na  0.750  0.652  0.902
Na  0.877  0.883  0.921
Na  0.962  0.383  0.507
Na  0.973  0.723  0.250
Mn  0.172  0.922  0.250
Mn  0.328  0.578  0.750
Mn  0.672  0.422  0.250
Mn  0.828  0.078  0.750
O  0.042  0.999  0.711
O  0.142  0.750  0.892
O  0.212  0.669  0.211
O  0.288  0.499  0.457
O  0.358  0.250  0.608
O  0.458  0.169  0.957
O  0.542  0.831  0.043
O  0.642  0.750  0.392
O  0.712  0.501  0.543
O  0.788  0.331  0.789
O  0.858  0.250  0.108
O  0.958  0.001  0.289

Top 10 peaks for 2θ = 10–90°, by angle:
- 2θ 21.40, I = 604
- 2θ 28.92, I = 394
- 2θ 29.07, I = 374
- 2θ 32.24, I = 436
- 2θ 32.57, I = 324
- 2θ 33.98, I = 427
- 2θ 37.93, I = 1000
- 2θ 47.78, I = 875
- 2θ 48.82, I = 499
- 2θ 55.95, I = 216

=====

> Number 3 is which compound?

NaMn3O6